The following is a theoretical X-ray powder pattern of La14TlHg. It was derived from a structure optimized by DFT (GGA-PBE), using Cu Kα.

```
data_La14TlHg
_chemical_formula_sum 'La28 Tl2 Hg2'
_cell_length_a 7.6577
_cell_length_b 11.9922
_cell_length_c 12.1402
_cell_angle_alpha 90.00
_cell_angle_beta 90.00
_cell_angle_gamma 90.00
_space_group_name_H-M_alt 'C m m m'
_space_group_IT_number 65
_space_group_name_Hall '-C 2 2'
loop_
_atom_site_label
_atom_site_type_symbol
_atom_site_fract_x
_atom_site_fract_y
_atom_site_fract_z
La1 La 0.0000 0.0000 0.0000
La2 La 0.0000 0.2336 0.2510
La3 La 0.0000 0.5000 0.0000
La4 La 0.2363 0.5000 0.2735
La5 La 0.2500 0.2500 0.0000
La6 La 0.2500 0.2500 0.5000
Tl1 Tl 0.0000 0.0000 0.5000
Hg1 Hg 0.0000 0.5000 0.5000
```

Top 12 peaks for 10° ≤ 2θ ≤ 80°, in order of rising 2θ:
index	2theta	I_rel
0 0 4	29.43	28
0 4 0	29.80	29
2 2 2	31.39	100
0 4 4	42.38	20
4 0 0	47.49	8
2 2 6	53.45	19
2 6 2	53.91	20
4 0 4	56.86	9
4 4 0	57.09	9
4 4 4	65.52	11
2 6 6	70.67	8
6 2 2	78.17	7

---

The following is a theoretical X-ray powder pattern of Na3InP2O8. It was derived from a structure optimized by DFT (GGA-PBE), using Cu Kα.

```
data_Na3InP2O8
_chemical_formula_sum 'Na6 In2 P4 O16'
_cell_length_a 8.7718
_cell_length_b 5.5345
_cell_length_c 7.1295
_cell_angle_alpha 90.00
_cell_angle_beta 90.26
_cell_angle_gamma 90.00
_space_group_name_H-M_alt 'C 1 2/m 1'
_space_group_IT_number 12
_space_group_name_Hall '-C 2y'
loop_
_atom_site_label
_atom_site_type_symbol
_atom_site_fract_x
_atom_site_fract_y
_atom_site_fract_z
Na1 Na 0.0000 0.0000 0.0000
Na2 Na 0.1879 0.5000 0.2155
In1 In 0.0000 0.0000 0.5000
P1 P 0.1544 0.5000 0.7229
O1 O 0.0469 0.2708 0.7207
O2 O 0.2440 0.0000 0.4547
O3 O 0.2503 0.0000 0.0983
```

Top 12 peaks for 10° ≤ 2θ ≤ 80°, in order of rising 2θ:
index	2theta	I_rel
0 0 1	12.42	69
1 1 0	18.96	26
1 1 1	22.75	55
2 0 -1	23.78	36
1 1 2	31.56	100
0 2 0	32.34	50
3 1 0	34.71	60
1 1 3	42.70	13
2 2 -2	46.36	20
2 2 2	46.47	14
1 3 2	57.20	13
4 2 2	59.82	15

---

The following is a theoretical X-ray powder pattern of Th2In3Sn3. It was derived from a structure optimized by DFT (GGA-PBE), using Cu Kα.

```
data_Th2In3Sn3
_chemical_formula_sum 'Th2 In3 Sn3'
_cell_length_a 4.7529
_cell_length_b 4.8625
_cell_length_c 9.2692
_cell_angle_alpha 90.00
_cell_angle_beta 90.00
_cell_angle_gamma 90.00
_space_group_name_H-M_alt 'P m m m'
_space_group_IT_number 47
_space_group_name_Hall '-P 2 2'
loop_
_atom_site_label
_atom_site_type_symbol
_atom_site_fract_x
_atom_site_fract_y
_atom_site_fract_z
Th1 Th 0.0000 0.0000 0.2454
In1 In 0.0000 0.5000 0.5000
In2 In 0.5000 0.5000 0.2538
Sn1 Sn 0.0000 0.5000 0.0000
Sn2 Sn 0.5000 0.0000 0.0000
Sn3 Sn 0.5000 0.0000 0.5000
```

Top 12 peaks for 10° ≤ 2θ ≤ 80°, in order of rising 2θ:
index	2theta	I_rel
0 1 0	18.24	3
1 1 2	32.67	100
0 2 0	36.97	18
2 0 0	37.86	17
0 0 4	38.86	16
2 2 0	53.95	12
0 2 4	54.72	12
2 0 4	55.38	11
1 3 2	63.92	15
3 1 2	65.11	14
1 1 6	66.48	13
2 2 4	68.46	12